The following is a theoretical X-ray powder pattern of CsGe2I8. It was derived from a crystal structure in Alexandria, relaxed with GGA-PBE, using Cu Kα X-rays.

Cell and atoms:
```
CsGe2I8
1.0
8.327 0.000 0.000
-4.164 7.211 0.000
0.000 0.000 12.263
Cs Ge I
1 2 8
direct
0.000 0.000 0.000
0.333 0.667 0.325
0.667 0.333 0.675
0.158 0.316 0.264
0.158 0.842 0.264
0.316 0.158 0.736
0.333 0.667 0.535
0.667 0.333 0.465
0.684 0.842 0.264
0.842 0.158 0.736
0.842 0.684 0.736
```

Largest 10 diffraction maxima, by intensity, 2θ from 10° to 80°:
14.2 deg, I = 100; 25.8 deg, I = 75; 25.9 deg, I = 45; 44.7 deg, I = 36; 33.7 deg, I = 34; 43.5 deg, I = 33; 25.0 deg, I = 29; 14.4 deg, I = 26; 28.7 deg, I = 25; 39.7 deg, I = 21